# 1
Diffraction record for SrIn2S4. The XRD peak list is simulated, not measured: it uses a structure optimized by DFT (PBE) and Cu Ka.
Peak positions follow from Bragg's law for the DFT cell and can differ from measured ones.

Crystal structure
```
data_SrIn2S4
_symmetry_space_group_name_H-M 'F d d d'
_symmetry_Int_Tables_number 70
_cell_length_a 13.1892
_cell_length_b 21.2493
_cell_length_c 21.4217
_cell_angle_alpha 90.00
_cell_angle_beta 90.00
_cell_angle_gamma 90.00
loop_
_symmetry_equiv_pos_as_xyz
'x,y,z'
'-x,-y,-z'
'-x+1/4,-y+1/4,z'
'x+1/4,y+1/4,-z'
'x,-y+1/4,-z+1/4'
'-x,y+1/4,z+1/4'
'-x+1/4,y,-z+1/4'
'x+1/4,-y,z+1/4'
'x,y+1/2,z+1/2'
'-x,-y+1/2,-z+1/2'
'-x+1/4,-y+3/4,z+1/2'
'x+1/4,y+3/4,-z+1/2'
'x,-y+3/4,-z+3/4'
'-x,y+3/4,z+3/4'
'-x+1/4,y+1/2,-z+3/4'
'x+1/4,-y+1/2,z+3/4'
'x+1/2,y,z+1/2'
'-x+1/2,-y,-z+1/2'
'-x+3/4,-y+1/4,z+1/2'
'x+3/4,y+1/4,-z+1/2'
'x+1/2,-y+1/4,-z+3/4'
'-x+1/2,y+1/4,z+3/4'
'-x+3/4,y,-z+3/4'
'x+3/4,-y,z+3/4'
'x+1/2,y+1/2,z'
'-x+1/2,-y+1/2,-z'
'-x+3/4,-y+3/4,z'
'x+3/4,y+3/4,-z'
'x+1/2,-y+3/4,-z+1/4'
'-x+1/2,y+3/4,z+1/4'
'-x+3/4,y+1/2,-z+1/4'
'x+3/4,-y+1/2,z+1/4'
loop_
_atom_site_label
_atom_site_fract_x
_atom_site_fract_y
_atom_site_fract_z
Sr1 0.1250 0.1250 0.1250
Sr2 0.1250 0.1250 0.6250
Sr3 0.1250 0.3718 0.1250
In1 0.0910 0.0001 0.9464
In2 0.1243 0.2507 0.4873
S1 0.0015 0.0879 0.5000
S2 0.0013 0.3386 0.2497
S3 0.0055 0.0016 0.1557
S4 0.0191 0.2514 0.5861
```

The 6 most intense peaks (2θ from 5° to 70°), by angle:
d/Å	intensity
5.312	57.6
3.859	94.9
3.140	60.5
2.656	45.6
2.482	100.0
2.028	34.4

***

# 2
Diffraction record for TaInS2. The XRD peak list is simulated, not measured: it uses a structure optimized by DFT (PBE) and Cu Ka.
Peak positions follow from Bragg's law for the DFT cell and can differ from measured ones.

Crystal structure
```
data_TaInS2
_symmetry_space_group_name_H-M 'P -6 m 2'
_symmetry_Int_Tables_number 187
_symmetry_space_group_name_Hall 'P -6 2'
_cell_length_a 3.3350
_cell_length_b 3.3350
_cell_length_c 8.9624
_cell_angle_alpha 90.00
_cell_angle_beta 90.00
_cell_angle_gamma 120.00
loop_
_atom_site_label
_atom_site_fract_x
_atom_site_fract_y
_atom_site_fract_z
Ta1 0.0000 0.0000 0.0000
In1 0.6667 0.3333 0.5000
S1 0.6667 0.3333 0.1742
```

The 6 most intense peaks (2θ from 5° to 70°), by angle:
d/Å	intensity
8.962	42.7
4.481	67.2
2.888	34.5
2.749	100.0
2.428	31.1
2.076	78.7